[1]
Structure and computed powder diffraction line list of Cr3W20C6 (a crystal structure in the Materials Project, relaxed with PBE; Cu Ka).
Lines closer than 0.1° are merged.

Main lines, low angle first (5 to 70 degrees two-theta):
2theta	Rel. int.
30.83	19
34.58	19
38.00	14
40.41	100
44.17	12
46.31	40
47.00	20
68.66	19

Crystal structure
```
Cr3W20C6
1.0
0.0000 5.7998 5.7998
5.7998 0.0000 5.7998
5.7998 5.7998 0.0000
Cr W C
3 20 6
direct
0.0000 0.0000 0.0000
0.2500 0.2500 0.2500
0.7500 0.7500 0.7500
0.0000 0.0000 0.3352
0.0000 0.0000 0.6648
0.0000 0.3352 0.0000
0.0000 0.3352 0.6648
0.0000 0.6648 0.0000
0.0000 0.6648 0.3352
0.1423 0.6192 0.6192
0.3352 0.0000 0.0000
0.3352 0.0000 0.6648
0.3352 0.6648 0.0000
0.3808 0.3808 0.3808
0.3808 0.3808 0.8577
0.3808 0.8577 0.3808
0.6192 0.1423 0.6192
0.6192 0.6192 0.1423
0.6192 0.6192 0.6192
0.6648 0.0000 0.0000
0.6648 0.0000 0.3352
0.6648 0.3352 0.0000
0.8577 0.3808 0.3808
0.2779 0.2779 0.7221
0.2779 0.7221 0.2779
0.2779 0.7221 0.7221
0.7221 0.2779 0.2779
0.7221 0.2779 0.7221
0.7221 0.7221 0.2779
```

---

[2]
Structure and computed powder diffraction line list of Cr20W3C6 (a crystal structure in the Materials Project, relaxed with PBE; Cu Ka).
Lines closer than 0.1° are merged.

Main lines, low angle first (5 to 70 degrees two-theta):
2theta	Rel. int.
23.53	55
27.66	17
37.61	37
41.35	95
43.99	100
48.12	49
54.24	23
65.28	19

Crystal structure
```
Cr20W3C6
1.0
0.0000 5.3479 5.3479
5.3479 0.0000 5.3479
5.3479 5.3479 0.0000
Cr W C
20 3 6
direct
0.0000 0.0000 0.3435
0.0000 0.0000 0.6565
0.0000 0.3435 0.0000
0.0000 0.3435 0.6565
0.0000 0.6565 0.0000
0.0000 0.6565 0.3435
0.1541 0.6153 0.6153
0.3435 0.0000 0.0000
0.3435 0.0000 0.6565
0.3435 0.6565 0.0000
0.3847 0.3847 0.3847
0.3847 0.3847 0.8459
0.3847 0.8459 0.3847
0.6153 0.1541 0.6153
0.6153 0.6153 0.1541
0.6153 0.6153 0.6153
0.6565 0.0000 0.0000
0.6565 0.0000 0.3435
0.6565 0.3435 0.0000
0.8459 0.3847 0.3847
0.0000 0.0000 0.0000
0.2500 0.2500 0.2500
0.7500 0.7500 0.7500
0.2760 0.2760 0.7240
0.2760 0.7240 0.2760
0.2760 0.7240 0.7240
0.7240 0.2760 0.2760
0.7240 0.2760 0.7240
0.7240 0.7240 0.2760
```

---

[3]
Structure and computed powder diffraction line list of Cr22WC6 (a crystal structure in the Materials Project, relaxed with PBE; Cu Ka).
Lines closer than 0.1° are merged.

Main lines, low angle first (5 to 70 degrees two-theta):
2theta	Rel. int.
14.47	18
27.92	19
29.19	9
41.75	37
44.41	100
48.59	26
51.75	17
54.77	6

Crystal structure
```
Cr22WC6
1.0
0.0000 5.2997 5.2997
5.2997 0.0000 5.2997
5.2997 5.2997 0.0000
Cr W C
22 1 6
direct
0.0000 0.0000 0.3455
0.0000 0.0000 0.6545
0.0000 0.3455 0.0000
0.0000 0.3455 0.6545
0.0000 0.6545 0.0000
0.0000 0.6545 0.3455
0.1436 0.6188 0.6188
0.2500 0.2500 0.2500
0.3455 0.0000 0.0000
0.3455 0.0000 0.6545
0.3455 0.6545 0.0000
0.3812 0.3812 0.3812
0.3812 0.3812 0.8564
0.3812 0.8564 0.3812
0.6188 0.1436 0.6188
0.6188 0.6188 0.1436
0.6188 0.6188 0.6188
0.6545 0.0000 0.0000
0.6545 0.0000 0.3455
0.6545 0.3455 0.0000
0.7500 0.7500 0.7500
0.8564 0.3812 0.3812
0.0000 0.0000 0.0000
0.2771 0.2771 0.7229
0.2771 0.7229 0.2771
0.2771 0.7229 0.7229
0.7229 0.2771 0.2771
0.7229 0.2771 0.7229
0.7229 0.7229 0.2771
```

---

[4]
Structure and computed powder diffraction line list of CsC8 (a crystal structure in the Materials Project, relaxed with PBE; Cu Ka).
Lines closer than 0.1° are merged.

Main lines, low angle first (5 to 70 degrees two-theta):
2theta	Rel. int.
20.61	82
25.26	100
29.15	34
35.97	39
36.10	19
39.07	31
44.57	35
58.64	19

Crystal structure
```
CsC8
1.0
4.9765 0.0000 0.0000
-2.4883 4.3098 0.0000
0.0000 0.0000 6.1273
Cs C
1 8
direct
0.0000 0.0000 0.0000
0.1665 0.3331 0.5000
0.1665 0.8335 0.5000
0.3331 0.1665 0.5000
0.3333 0.6667 0.5000
0.6667 0.3333 0.5000
0.6669 0.8335 0.5000
0.8335 0.1665 0.5000
0.8335 0.6669 0.5000
```

---

[5]
Structure and computed powder diffraction line list of CsCuC2 (a crystal structure in the Materials Project, relaxed with PBE; Cu Ka).
Lines closer than 0.1° are merged.

Main lines, low angle first (5 to 70 degrees two-theta):
2theta	Rel. int.
25.52	44
26.45	100
36.40	23
39.06	10
45.55	40
47.24	17
54.45	14
59.66	11

Crystal structure
```
CsCuC2
1.0
4.9367 0.0000 0.0000
0.0000 4.9367 0.0000
0.0000 0.0000 9.2253
Cs Cu C
2 2 4
direct
0.0000 0.0000 0.2500
0.0000 0.0000 0.7500
0.5000 0.5000 0.0000
0.5000 0.5000 0.5000
0.1271 0.5000 0.0000
0.5000 0.1271 0.5000
0.5000 0.8729 0.5000
0.8729 0.5000 0.0000
```

---

[6]
Structure and computed powder diffraction line list of Cs2Cu3C3N7 (a crystal structure in the Materials Project, relaxed with PBE; Cu Ka).
Lines closer than 0.1° are merged.

Main lines, low angle first (5 to 70 degrees two-theta):
2theta	Rel. int.
20.22	100
21.60	43
24.14	62
25.88	61
26.69	72
26.99	67
30.56	70
34.15	45

Crystal structure
```
Cs2Cu3C3N7
1.0
8.9927 -4.0167 0.0000
8.9927 4.0167 0.0000
-1.2161 0.0000 8.6289
Cs Cu C N
4 6 6 14
direct
0.0703 0.7019 0.9166
0.2981 0.9297 0.5834
0.7019 0.0703 0.4166
0.9297 0.2981 0.0834
0.1382 0.4702 0.3840
0.4273 0.5727 0.2500
0.4702 0.1382 0.8840
0.5298 0.8618 0.1160
0.5727 0.4273 0.7500
0.8618 0.5298 0.6160
0.0785 0.3673 0.7327
0.1940 0.8060 0.2500
0.3673 0.0785 0.2327
0.6327 0.9215 0.7673
0.8060 0.1940 0.7500
0.9215 0.6327 0.2673
0.0469 0.9531 0.2500
0.2172 0.2760 0.8098
0.2760 0.2172 0.3098
0.2789 0.4878 0.5290
0.3792 0.4786 0.6239
0.4786 0.3792 0.1239
0.4878 0.2789 0.0290
0.5122 0.7211 0.9710
0.5214 0.6208 0.8761
0.6208 0.5214 0.3761
0.7211 0.5122 0.4710
0.7240 0.7828 0.6902
0.7828 0.7240 0.1902
0.9531 0.0469 0.7500
```